The following is a simulated powder XRD pattern of UFe2CuO6. It was derived from a cell relaxed with GGA+U, using Cu Ka.
Intensities are scaled so that the largest is 100.

Atomic structure:
Unit cell a=10.3496 b=5.5975 c=5.0451 alpha=90.00 beta=114.65 gamma=90.00
Space group C2/m (No. 12)
Unique sites:
U (0.0000, 0.0000, 0.0000) [2 per cell]
Fe (0.2457, 0.0000, 0.6361) [4 per cell]
Cu (0.0000, 0.5000, 0.5000) [2 per cell]
O (0.0976, 0.2631, 0.3575) [8 per cell]
O (0.1758, 0.0000, 0.9534) [4 per cell]

Top 8 peaks for 5° ≤ 2θ ≤ 70°, low angle first:
- (1 1 0), 2θ = 18.4°, rel. 52.3
- (2 0 0), 2θ = 18.9°, rel. 26.6
- (2 0 -1), 2θ = 20.7°, rel. 40.1
- (1 1 -1), 2θ = 23.8°, rel. 43.7
- (1 1 1), 2θ = 29.6°, rel. 100.0
- (3 1 -1), 2θ = 31.4°, rel. 64.0
- (0 2 0), 2θ = 32.0°, rel. 35.0
- (4 2 0), 2θ = 50.7°, rel. 26.3